TmI3O11: simulated PXRD pattern (Cu Ka), based on a crystal structure in Alexandria, relaxed with PBE.
Kinematic intensities with the Lorentz-polarization factor, no thermal factor.

Cell: 7.098 7.737 10.824 Å, 73.45 72.26 70.64°
Fractional coordinates of all 30 atoms:
Tm  0.241  0.427  0.211
Tm  0.759  0.573  0.789
I  0.179  0.289  0.566
I  0.245  0.853  0.927
I  0.348  0.355  0.843
I  0.652  0.645  0.157
I  0.755  0.147  0.073
I  0.821  0.711  0.434
O  0.040  0.258  0.191
O  0.109  0.611  0.380
O  0.116  0.451  0.771
O  0.170  0.086  0.965
O  0.187  0.060  0.680
O  0.212  0.221  0.411
O  0.226  0.449  0.995
O  0.289  0.715  0.093
O  0.453  0.207  0.615
O  0.464  0.549  0.752
O  0.484  0.165  0.151
O  0.516  0.835  0.849
O  0.536  0.451  0.248
O  0.547  0.793  0.385
O  0.711  0.285  0.907
O  0.774  0.551  0.005
O  0.788  0.779  0.589
O  0.813  0.940  0.320
O  0.830  0.914  0.035
O  0.884  0.549  0.229
O  0.891  0.389  0.620
O  0.960  0.742  0.809

Peak list (6 most intense, 2θ = 10–90°, in order of falling intensity)
5.901 Å, I = 100, (1 1 1); 3.318 Å, I = 89, (1 0 3); 3.253 Å, I = 82, (2 0 0); 7.145 Å, I = 82, (0 1 0); 3.774 Å, I = 60, (0 1 -2); 3.561 Å, I = 54, (1 2 0)